For GdMoBrO4, a cell relaxed with PBE+U gives the theoretical powder diffraction line list in this record (λ = 1.5418 Å (Cu Kα)).

Structural model:
```
GdMoBrO4
1.0
7.1081 0.0000 0.0000
-0.6161 7.4024 0.0000
-3.3684 -2.8918 10.1463
Gd Mo Br O
4 4 4 16
direct
0.1233 0.3393 0.2314
0.1640 0.0998 0.7285
0.8360 0.9002 0.2715
0.8767 0.6607 0.7686
0.2271 0.8185 0.1347
0.2706 0.5829 0.6276
0.7294 0.4171 0.3724
0.7729 0.1815 0.8653
0.2359 0.9899 0.4791
0.3051 0.2790 0.0127
0.6949 0.7210 0.9873
0.7641 0.0101 0.5209
0.0983 0.0122 0.1877
0.1488 0.6341 0.1973
0.1550 0.7753 0.7011
0.1563 0.7406 0.9601
0.1734 0.5032 0.4514
0.2221 0.3945 0.6946
0.4661 0.3501 0.3261
0.4918 0.8872 0.2035
0.5082 0.1128 0.7965
0.5339 0.6499 0.6739
0.7779 0.6055 0.3054
0.8266 0.4968 0.5486
0.8437 0.2594 0.0399
0.8450 0.2247 0.2989
0.8512 0.3659 0.8027
0.9017 0.9878 0.8123
```

Top 6 peaks for 2θ from 10° to 90°, sorted by position:
| index | two_theta | Rel. int. |
| --- | --- | --- |
| 1 0 0 | 13.26 | 32 |
| 0 2 -1 | 24.12 | 100 |
| 1 0 2 | 25.35 | 41 |
| 2 0 0 | 26.70 | 29 |
| -1 1 3 | 30.41 | 29 |
| 1 1 -4 | 32.88 | 23 |